1.
# Tl4Bi4Pb3
Simulated XRD peak list, CuKα. Input: a DFT-relaxed cell (GGA-PBE, Alexandria).
Neutral-atom scattering factors, no anomalous dispersion.

Crystal structure
```
Tl4Bi4Pb3
1.0
3.4671 0.0000 0.0000
-0.0043 5.6053 0.0000
-0.5951 -2.7559 18.2079
Tl Bi Pb
4 4 3
Cartesian
0.0000 0.0000 0.0000
0.0609 2.7871 4.7132
2.6489 -0.0012 6.6095
2.7598 2.7860 11.3979
0.7238 0.0200 16.4273
1.1168 2.7885 8.0221
1.0070 0.0082 13.1017
1.5589 0.0001 3.3052
0.9206 -0.0065 9.7920
1.8385 2.7955 1.5156
1.8258 2.8177 14.8225
```

Main lines, by angle (2θ from 10° to 80°):
| two_theta | I/Imax |
| --- | --- |
| 30.11 | 20 |
| 30.50 | 16 |
| 31.02 | 16 |
| 31.38 | 100 |
| 31.93 | 49 |
| 32.45 | 40 |


2.
# TlBi5Pb4
Simulated XRD peak list, CuKα. Input: a DFT-relaxed cell (GGA-PBE, Alexandria).
Neutral-atom scattering factors, no anomalous dispersion.

Crystal structure
```
TlBi5Pb4
1.0
10.5971 0.0000 0.0000
0.0000 14.4406 0.0000
0.0000 0.0000 4.6206
Tl Bi Pb
2 10 8
Cartesian
2.6493 3.6101 1.1513
7.9478 10.8304 3.4694
0.0388 8.4003 3.4644
0.0388 13.2606 3.4644
2.6493 10.8304 3.4727
5.2597 8.4003 3.4644
5.2597 13.2606 3.4644
5.3374 1.1800 1.1562
5.3374 6.0403 1.1562
7.9478 3.6101 1.1480
10.5582 1.1800 1.1562
10.5582 6.0403 1.1562
0.0838 3.6101 3.4640
2.6493 8.1910 1.1569
2.6493 13.4699 1.1569
5.2147 3.6101 3.4640
5.3823 10.8304 1.1566
7.9478 0.9707 3.4638
7.9478 6.2496 3.4638
10.5133 10.8304 1.1566
```

Main lines, by angle (2θ from 10° to 80°):
| two_theta | I/Imax |
| --- | --- |
| 31.71 | 100 |
| 33.83 | 21 |
| 37.36 | 15 |
| 38.99 | 15 |
| 51.29 | 13 |
| 59.20 | 17 |


3.
# Tl5Bi3Pb3
Simulated XRD peak list, CuKα. Input: a DFT-relaxed cell (GGA-PBE, Alexandria).
Neutral-atom scattering factors, no anomalous dispersion.

Crystal structure
```
Tl5Bi3Pb3
1.0
10.4758 0.0000 0.0000
-5.2379 9.0723 0.0000
0.0000 0.0000 4.6449
Tl Bi Pb
5 3 3
Cartesian
-3.7310 6.4623 0.0000
1.5069 2.6100 0.0000
0.0000 6.0482 0.0000
5.2379 3.0241 0.0000
7.4620 0.0000 0.0000
-2.0616 3.5708 0.0000
4.1232 0.0000 0.0000
3.1763 5.5016 0.0000
-1.0107 1.7506 2.3224
2.0214 0.0000 2.3224
4.2272 7.3217 2.3224
```

Main lines, by angle (2θ from 10° to 80°):
| two_theta | I/Imax |
| --- | --- |
| 19.11 | 35 |
| 21.49 | 49 |
| 29.54 | 42 |
| 32.45 | 100 |
| 35.42 | 87 |
| 35.68 | 35 |


4.
# Tl5Bi4Pb2
Simulated XRD peak list, CuKα. Input: a DFT-relaxed cell (GGA-PBE, Alexandria).
Neutral-atom scattering factors, no anomalous dispersion.

Crystal structure
```
Tl5Bi4Pb2
1.0
9.2110 0.0000 0.0000
0.0000 3.5032 0.0000
-1.8002 0.0000 11.4472
Tl Bi Pb
5 4 2
Cartesian
0.0000 0.0000 0.0000
-0.6220 0.0000 4.0041
3.4600 0.0000 1.2476
3.9507 0.0000 10.1996
8.0328 0.0000 7.4431
0.8307 1.7516 9.7146
2.2908 1.7516 3.9870
5.1200 1.7516 7.4602
6.5800 1.7516 1.7326
2.1907 0.0000 6.9648
5.2201 0.0000 4.4824
```

Main lines, by angle (2θ from 10° to 80°):
| two_theta | I/Imax |
| --- | --- |
| 29.45 | 42 |
| 30.73 | 44 |
| 31.26 | 58 |
| 32.27 | 100 |
| 34.55 | 35 |
| 34.80 | 26 |


5.
# TlBi7Pb12
Simulated XRD peak list, CuKα. Input: a DFT-relaxed cell (GGA-PBE, Alexandria).
Neutral-atom scattering factors, no anomalous dispersion.

Crystal structure
```
TlBi7Pb12
1.0
9.3056 0.0000 0.0000
-2.8630 8.8675 0.0000
-2.7653 -3.8533 8.0467
Tl Bi Pb
1 7 12
Cartesian
0.0000 0.0000 0.0000
-3.2063 6.8292 2.7946
-3.7925 2.0981 7.7095
0.5656 -3.1564 7.4533
1.8387 2.5071 4.0233
3.1117 8.1706 0.5934
7.4698 2.9161 0.3371
6.8836 -1.8150 5.2521
-1.8477 0.9924 3.1612
-0.7980 4.4189 3.1148
1.5115 3.4863 0.0766
-0.7879 2.4581 6.1313
1.0889 -0.4992 5.3732
2.8781 -1.0265 2.3125
0.7992 6.0407 5.7342
2.5885 5.5134 2.6734
4.4653 2.5561 1.9153
2.1658 1.5279 7.9700
4.4753 0.5953 4.9318
5.5250 4.0217 4.8854
```

Main lines, by angle (2θ from 10° to 80°):
| two_theta | I/Imax |
| --- | --- |
| 28.80 | 18 |
| 28.98 | 17 |
| 31.45 | 100 |
| 31.53 | 50 |
| 33.43 | 25 |
| 33.61 | 22 |


6.
# Tl5Bi2Pb2
Simulated XRD peak list, CuKα. Input: a DFT-relaxed cell (GGA-PBE, Alexandria).
Neutral-atom scattering factors, no anomalous dispersion.

Crystal structure
```
Tl5Bi2Pb2
1.0
-10.4837 4.5054 3.1406
10.4837 -4.5054 3.1406
10.4837 4.5054 -3.1406
Tl Bi Pb
10 4 4
Cartesian
15.7255 0.9226 0.3541
2.1687 1.6549 0.0000
8.3150 1.6549 0.0000
3.4267 -0.4672 3.5183
7.0570 -0.4672 3.5183
3.4267 4.9726 0.3777
7.0570 4.9726 0.3777
2.1687 2.8505 3.1406
8.3150 2.8505 3.1406
-5.2418 3.5827 3.4947
5.2418 2.3214 -1.2400
5.2418 2.1840 1.9006
0.0000 4.5054 0.7450
0.0000 0.0000 3.8856
11.6212 3.1979 -2.2126
9.3462 -1.3075 0.9280
-1.1375 1.3075 0.9280
11.6212 1.3075 0.9280
```

Main lines, by angle (2θ from 10° to 80°):
| two_theta | I/Imax |
| --- | --- |
| 28.42 | 37 |
| 30.06 | 37 |
| 30.92 | 95 |
| 32.45 | 100 |
| 32.81 | 41 |
| 33.06 | 62 |


7.
# TlBi3Pb2
Simulated XRD peak list, CuKα. Input: a DFT-relaxed cell (GGA-PBE, Alexandria).
Neutral-atom scattering factors, no anomalous dispersion.

Crystal structure
```
TlBi3Pb2
1.0
-5.6747 5.9315 3.1841
5.6747 -5.9315 3.1841
5.6747 5.9315 -3.1841
Tl Bi Pb
2 6 4
Cartesian
0.0000 2.9657 1.1193
5.6747 2.9657 2.0649
2.8373 2.9657 -1.5921
2.4349 0.0000 0.0000
2.8373 -2.9657 1.5921
8.9145 0.0000 0.0000
2.4349 5.9315 0.0000
3.2398 0.0000 3.1841
5.6747 -1.1844 1.1561
5.6747 4.7470 -1.1561
0.0000 1.1844 4.3402
0.0000 7.1159 2.0281
```

Main lines, by angle (2θ from 10° to 80°):
| two_theta | I/Imax |
| --- | --- |
| 30.12 | 35 |
| 30.93 | 100 |
| 31.53 | 50 |
| 31.90 | 36 |
| 34.11 | 36 |
| 35.70 | 37 |


8.
# Tl2Bi5Pb5
Simulated XRD peak list, CuKα. Input: a DFT-relaxed cell (GGA-PBE, Alexandria).
Neutral-atom scattering factors, no anomalous dispersion.

Crystal structure
```
Tl2Bi5Pb5
1.0
3.5417 0.0000 0.0000
1.4071 9.0581 0.0000
1.2286 1.0076 12.1413
Tl Bi Pb
2 5 5
Cartesian
1.3265 2.0536 3.3292
4.8509 8.0121 8.8121
3.1902 8.0899 5.7857
3.2965 4.9697 9.2346
1.7708 0.0000 0.0000
2.8808 5.0961 2.9067
2.9871 1.9759 6.3556
1.3178 5.0329 6.0707
1.4271 2.0853 9.3032
2.9129 7.0416 11.9532
3.2644 3.0242 0.1881
4.7503 7.9805 2.8381
```

Main lines, by angle (2θ from 10° to 80°):
| two_theta | I/Imax |
| --- | --- |
| 29.43 | 90 |
| 30.00 | 80 |
| 31.73 | 100 |
| 31.87 | 57 |
| 33.05 | 66 |
| 35.05 | 43 |